Co3ReNi4: computed powder diffraction line list (Cu Kα (λ = 1.5418 Å)), based on a DFT-relaxed cell (PBE, Alexandria).
Peak positions follow from Bragg's law for the DFT cell and can differ from measured ones.

Cell and atoms:
```
data_Co3ReNi4
_symmetry_space_group_name_H-M 'P 1'
_symmetry_Int_Tables_number 1
_symmetry_space_group_name_Hall 'P 1'
_cell_length_a 16.975
_cell_length_b 2.467
_cell_length_c 4.744
_cell_angle_alpha 90.00
_cell_angle_beta 106.18
_cell_angle_gamma 90.00
loop_
_atom_site_label
_atom_site_fract_x
_atom_site_fract_y
_atom_site_fract_z
Co1 0.000 0.000 0.000
Co2 0.242 0.000 0.242
Co3 0.258 0.500 0.758
Co4 0.500 0.500 0.000
Co5 0.742 0.500 0.242
Co6 0.758 0.000 0.758
Re1 0.000 0.500 0.500
Re2 0.500 0.000 0.500
Ni1 0.129 0.500 0.374
Ni2 0.129 0.500 0.884
Ni3 0.371 0.000 0.116
Ni4 0.371 0.000 0.626
Ni5 0.629 0.000 0.374
Ni6 0.629 0.000 0.884
Ni7 0.871 0.500 0.116
Ni8 0.871 0.500 0.626
```

The 12 most intense peaks (15 to 90 degrees two-theta), by intensity:
- 44.2°, I 1000
- 47.1°, I 596
- 44.5°, I 474
- 41.3°, I 409
- 36.9°, I 375
- 56.4°, I 283
- 24.9°, I 248
- 19.5°, I 243
- 62.3°, I 222
- 54.2°, I 204
- 61.2°, I 122
- 75.1°, I 119

Co5Ni2Rh: computed powder diffraction line list (Cu Kα (λ = 1.5418 Å)), based on a DFT-relaxed cell (PBE, Alexandria).
Peak positions follow from Bragg's law for the DFT cell and can differ from measured ones.

Cell and atoms:
```
data_Co5Ni2Rh
_symmetry_space_group_name_H-M 'P 1'
_symmetry_Int_Tables_number 1
_symmetry_space_group_name_Hall 'P 1'
_cell_length_a 4.088
_cell_length_b 10.182
_cell_length_c 4.388
_cell_angle_alpha 90.00
_cell_angle_beta 90.00
_cell_angle_gamma 90.00
loop_
_atom_site_label
_atom_site_fract_x
_atom_site_fract_y
_atom_site_fract_z
Co1 0.250 0.004 0.165
Co2 0.250 0.120 0.666
Co3 0.250 0.250 0.184
Co4 0.250 0.380 0.666
Co5 0.250 0.496 0.165
Co6 0.750 0.504 0.835
Co7 0.750 0.620 0.334
Co8 0.750 0.750 0.816
Co9 0.750 0.880 0.334
Co10 0.750 0.996 0.835
Ni1 0.250 0.622 0.664
Ni2 0.250 0.878 0.664
Ni3 0.750 0.122 0.336
Ni4 0.750 0.378 0.336
Rh1 0.250 0.750 0.163
Rh2 0.750 0.250 0.837
```

The 12 most intense peaks (15 to 90 degrees two-theta), by intensity:
- 46.9°, I 1000
- 47.0°, I 496
- 44.3°, I 399
- 83.4°, I 251
- 41.0°, I 250
- 74.9°, I 148
- 61.9°, I 136
- 41.1°, I 124
- 74.6°, I 74
- 62.1°, I 68
- 23.4°, I 31
- 34.8°, I 28

CoNi2Rh8: computed powder diffraction line list (Cu Kα (λ = 1.5418 Å)), based on a DFT-relaxed cell (PBE, Alexandria).
Peak positions follow from Bragg's law for the DFT cell and can differ from measured ones.

Cell and atoms:
```
data_CoNi2Rh8
_symmetry_space_group_name_H-M 'P 1'
_symmetry_Int_Tables_number 1
_symmetry_space_group_name_Hall 'P 1'
_cell_length_a 6.281
_cell_length_b 6.281
_cell_length_c 4.044
_cell_angle_alpha 90.00
_cell_angle_beta 90.00
_cell_angle_gamma 103.76
loop_
_atom_site_label
_atom_site_fract_x
_atom_site_fract_y
_atom_site_fract_z
Co1 0.000 0.000 0.000
Ni1 0.383 0.617 0.500
Ni2 0.617 0.383 0.500
Rh1 0.035 0.299 0.500
Rh2 0.253 0.747 0.000
Rh3 0.299 0.035 0.500
Rh4 0.333 0.333 0.000
Rh5 0.667 0.667 0.000
Rh6 0.701 0.965 0.500
Rh7 0.747 0.253 0.000
Rh8 0.965 0.701 0.500
```

The 12 most intense peaks (15 to 90 degrees two-theta), by intensity:
- 42.9°, I 1000
- 42.5°, I 824
- 44.8°, I 448
- 44.6°, I 416
- 65.1°, I 265
- 36.9°, I 244
- 88.8°, I 240
- 81.2°, I 151
- 81.3°, I 146
- 29.3°, I 137
- 58.8°, I 133
- 32.0°, I 132

Co14NiRh: computed powder diffraction line list (Cu Kα (λ = 1.5418 Å)), based on a DFT-relaxed cell (PBE, Alexandria).
Peak positions follow from Bragg's law for the DFT cell and can differ from measured ones.

Cell and atoms:
```
data_Co14NiRh
_symmetry_space_group_name_H-M 'P 1'
_symmetry_Int_Tables_number 1
_symmetry_space_group_name_Hall 'P 1'
_cell_length_a 8.143
_cell_length_b 5.048
_cell_length_c 5.048
_cell_angle_alpha 59.94
_cell_angle_beta 90.00
_cell_angle_gamma 90.00
loop_
_atom_site_label
_atom_site_fract_x
_atom_site_fract_y
_atom_site_fract_z
Co1 0.000 0.000 0.000
Co2 0.000 0.000 0.498
Co3 0.000 0.498 0.000
Co4 0.000 0.500 0.500
Co5 0.245 0.171 0.662
Co6 0.245 0.662 0.171
Co7 0.245 0.664 0.664
Co8 0.253 0.165 0.165
Co9 0.500 0.333 0.830
Co10 0.500 0.830 0.333
Co11 0.747 0.165 0.165
Co12 0.755 0.171 0.662
Co13 0.755 0.662 0.171
Co14 0.755 0.664 0.664
Ni1 0.500 0.334 0.334
Rh1 0.500 0.833 0.833
```

The 12 most intense peaks (15 to 90 degrees two-theta), by intensity:
- 47.2°, I 1000
- 42.8°, I 509
- 44.5°, I 365
- 53.9°, I 248
- 75.3°, I 204
- 83.9°, I 162
- 72.4°, I 98
- 41.3°, I 66
- 62.3°, I 34
- 23.1°, I 20
- 30.0°, I 14
- 20.3°, I 10

Co8Ni2Rh: computed powder diffraction line list (Cu Kα (λ = 1.5418 Å)), based on a DFT-relaxed cell (PBE, Alexandria).
Peak positions follow from Bragg's law for the DFT cell and can differ from measured ones.

Cell and atoms:
```
data_Co8Ni2Rh
_symmetry_space_group_name_H-M 'P 1'
_symmetry_Int_Tables_number 1
_symmetry_space_group_name_Hall 'P 1'
_cell_length_a 6.959
_cell_length_b 6.959
_cell_length_c 6.959
_cell_angle_alpha 144.58
_cell_angle_beta 138.25
_cell_angle_gamma 55.88
loop_
_atom_site_label
_atom_site_fract_x
_atom_site_fract_y
_atom_site_fract_z
Co1 0.096 0.366 0.731
Co2 0.204 0.204 0.000
Co3 0.365 0.634 0.731
Co4 0.500 0.246 0.746
Co5 0.500 0.754 0.254
Co6 0.635 0.366 0.269
Co7 0.796 0.796 0.000
Co8 0.904 0.634 0.269
Ni1 0.316 0.816 0.500
Ni2 0.684 0.184 0.500
Rh1 0.000 0.000 0.000
```

The 12 most intense peaks (15 to 90 degrees two-theta), by intensity:
- 42.9°, I 1000
- 42.5°, I 874
- 47.1°, I 747
- 48.0°, I 513
- 42.7°, I 466
- 44.2°, I 342
- 40.6°, I 339
- 47.3°, I 317
- 52.0°, I 238
- 76.7°, I 193
- 36.2°, I 190
- 45.3°, I 188

Co3NiRh4: computed powder diffraction line list (Cu Kα (λ = 1.5418 Å)), based on a DFT-relaxed cell (PBE, Alexandria).
Peak positions follow from Bragg's law for the DFT cell and can differ from measured ones.

Cell and atoms:
```
data_Co3NiRh4
_symmetry_space_group_name_H-M 'P 1'
_symmetry_Int_Tables_number 1
_symmetry_space_group_name_Hall 'P 1'
_cell_length_a 3.758
_cell_length_b 3.758
_cell_length_c 14.497
_cell_angle_alpha 90.00
_cell_angle_beta 90.00
_cell_angle_gamma 90.00
loop_
_atom_site_label
_atom_site_fract_x
_atom_site_fract_y
_atom_site_fract_z
Co1 0.000 0.000 0.000
Co2 0.000 0.000 0.251
Co3 0.000 0.000 0.749
Co4 0.500 0.500 0.249
Co5 0.500 0.500 0.500
Co6 0.500 0.500 0.751
Ni1 0.000 0.000 0.500
Ni2 0.500 0.500 0.000
Rh1 0.000 0.500 0.125
Rh2 0.000 0.500 0.375
Rh3 0.000 0.500 0.625
Rh4 0.000 0.500 0.875
Rh5 0.500 0.000 0.125
Rh6 0.500 0.000 0.375
Rh7 0.500 0.000 0.625
Rh8 0.500 0.000 0.875
```

The 12 most intense peaks (15 to 90 degrees two-theta), by intensity:
- 42.2°, I 1000
- 48.4°, I 330
- 86.1°, I 236
- 72.5°, I 187
- 50.4°, I 146
- 89.0°, I 110
- 70.9°, I 100
- 24.6°, I 69
- 33.7°, I 60
- 55.0°, I 32
- 62.0°, I 23
- 76.3°, I 13

CoNi8Rh4: computed powder diffraction line list (Cu Kα (λ = 1.5418 Å)), based on a DFT-relaxed cell (PBE, Alexandria).
Peak positions follow from Bragg's law for the DFT cell and can differ from measured ones.

Cell and atoms:
```
data_CoNi8Rh4
_symmetry_space_group_name_H-M 'P 1'
_symmetry_Int_Tables_number 1
_symmetry_space_group_name_Hall 'P 1'
_cell_length_a 4.492
_cell_length_b 4.492
_cell_length_c 10.618
_cell_angle_alpha 94.53
_cell_angle_beta 94.53
_cell_angle_gamma 47.57
loop_
_atom_site_label
_atom_site_fract_x
_atom_site_fract_y
_atom_site_fract_z
Co1 0.000 0.000 0.000
Ni1 0.080 0.080 0.773
Ni2 0.231 0.231 0.305
Ni3 0.306 0.306 0.075
Ni4 0.463 0.463 0.620
Ni5 0.537 0.537 0.380
Ni6 0.694 0.694 0.925
Ni7 0.769 0.769 0.695
Ni8 0.920 0.920 0.227
Rh1 0.153 0.153 0.540
Rh2 0.388 0.388 0.848
Rh3 0.612 0.612 0.152
Rh4 0.847 0.847 0.460
```

The 12 most intense peaks (15 to 90 degrees two-theta), by intensity:
- 43.0°, I 1000
- 49.5°, I 163
- 50.4°, I 154
- 50.2°, I 154
- 73.3°, I 141
- 89.6°, I 112
- 73.9°, I 91
- 88.3°, I 59
- 88.2°, I 58
- 89.3°, I 57
- 89.4°, I 55
- 73.1°, I 47

Co4Ni7Rh: computed powder diffraction line list (Cu Kα (λ = 1.5418 Å)), based on a DFT-relaxed cell (PBE, Alexandria).
Peak positions follow from Bragg's law for the DFT cell and can differ from measured ones.

Cell and atoms:
```
data_Co4Ni7Rh
_symmetry_space_group_name_H-M 'P 1'
_symmetry_Int_Tables_number 1
_symmetry_space_group_name_Hall 'P 1'
_cell_length_a 4.332
_cell_length_b 5.064
_cell_length_c 6.617
_cell_angle_alpha 79.13
_cell_angle_beta 71.67
_cell_angle_gamma 89.76
loop_
_atom_site_label
_atom_site_fract_x
_atom_site_fract_y
_atom_site_fract_z
Co1 0.001 0.415 0.336
Co2 0.496 0.831 0.661
Co3 0.504 0.169 0.339
Co4 0.999 0.585 0.664
Ni1 0.002 0.744 0.000
Ni2 0.005 0.085 0.661
Ni3 0.498 0.662 0.337
Ni4 0.500 0.500 0.000
Ni5 0.502 0.338 0.663
Ni6 0.995 0.915 0.339
Ni7 0.998 0.256 0.000
Rh1 0.500 0.000 0.000
```

The 12 most intense peaks (15 to 90 degrees two-theta), by intensity:
- 44.1°, I 1000
- 44.0°, I 336
- 50.9°, I 213
- 51.2°, I 209
- 52.0°, I 200
- 75.7°, I 119
- 76.0°, I 118
- 75.0°, I 62
- 75.2°, I 61
- 29.0°, I 10
- 27.3°, I 7
- 20.6°, I 6

Q: What is the formula in the first record?
A: Co3ReNi4